[1]
Ga2FeTeO8: computed powder diffraction line list (λ = 1.5418 Å (Cu Kα)), based on DFT lattice parameters and positions (PBE+U).
Peak positions follow from Bragg's law for the DFT cell and can differ from measured ones.

Principal peaks in the range 10° ≤ 2θ ≤ 80°, sorted by position:
2θ (°)	I/Imax
24.39	16.6
26.68	84.1
28.14	71.0
35.74	100.0
39.17	26.5
53.22	51.4
54.90	57.6
58.19	11.6
61.87	11.4
68.76	30.6

Atomic structure:
```
data_Ga2FeTeO8
_cell_length_a 4.6060
_cell_length_b 4.6060
_cell_length_c 5.9987
_cell_angle_alpha 90.00
_cell_angle_beta 90.00
_cell_angle_gamma 92.99
_symmetry_space_group_name_H-M 'P 1'
_symmetry_Int_Tables_number 1
loop_
_symmetry_equiv_pos_as_xyz
'x,y,z'
loop_
_atom_site_label
_atom_site_type_symbol
_atom_site_fract_x
_atom_site_fract_y
_atom_site_fract_z
Ga1 Ga 0.0000 0.0000 0.2413
Ga2 Ga 0.0000 0.0000 0.7587
Fe1 Fe 0.5000 0.5000 0.0000
Te1 Te 0.5000 0.5000 0.5000
O1 O 0.1928 0.1928 0.5000
O2 O 0.2014 0.2014 0.0000
O3 O 0.3127 0.6873 0.2487
O4 O 0.3127 0.6873 0.7513
O5 O 0.6873 0.3127 0.2487
O6 O 0.6873 0.3127 0.7513
O7 O 0.7986 0.7986 0.0000
O8 O 0.8072 0.8072 0.5000
```

[2]
TmGaFeO4: computed powder diffraction line list (λ = 1.5418 Å (Cu Kα)), based on DFT lattice parameters and positions (PBE+U).
Peak positions follow from Bragg's law for the DFT cell and can differ from measured ones.

Principal peaks in the range 10° ≤ 2θ ≤ 80°, sorted by position:
2θ (°)	I/Imax
17.66	64.1
20.28	20.0
29.14	24.1
33.13	100.0
34.01	73.5
34.66	24.0
35.77	21.8
40.71	28.0
54.25	27.9
59.34	48.1

Atomic structure:
```
data_TmGaFeO4
_cell_length_a 6.2335
_cell_length_b 6.2335
_cell_length_c 6.2335
_cell_angle_alpha 121.11
_cell_angle_beta 118.03
_cell_angle_gamma 90.77
_symmetry_space_group_name_H-M 'P 1'
_symmetry_Int_Tables_number 1
loop_
_symmetry_equiv_pos_as_xyz
'x,y,z'
loop_
_atom_site_label
_atom_site_type_symbol
_atom_site_fract_x
_atom_site_fract_y
_atom_site_fract_z
Tm1 Tm 0.0000 0.0000 0.0000
Tm2 Tm 0.5000 0.0000 0.5000
Ga1 Ga 0.3758 0.6258 0.7500
Ga2 Ga 0.6242 0.3742 0.2500
Fe1 Fe 0.0000 0.0000 0.5000
Fe2 Fe 0.0000 0.5000 0.0000
O1 O 0.2453 0.7454 0.4999
O2 O 0.2479 0.2474 0.4995
O3 O 0.2479 0.7485 0.0005
O4 O 0.2546 0.2546 0.9999
O5 O 0.7454 0.7454 0.0001
O6 O 0.7521 0.2515 0.9995
O7 O 0.7521 0.7526 0.5005
O8 O 0.7547 0.2546 0.5001
```

[3]
ZnGaFeO4: computed powder diffraction line list (λ = 1.5418 Å (Cu Kα)), based on DFT lattice parameters and positions (PBE+U).
Peak positions follow from Bragg's law for the DFT cell and can differ from measured ones.

Principal peaks in the range 10° ≤ 2θ ≤ 80°, sorted by position:
2θ (°)	I/Imax
29.46	16.1
30.07	29.7
34.84	100.0
35.86	44.3
36.80	15.2
42.16	16.1
55.80	30.9
57.92	14.0
61.15	22.0
62.50	40.5

Atomic structure:
```
data_ZnGaFeO4
_cell_length_a 5.9490
_cell_length_b 5.9490
_cell_length_c 5.9490
_cell_angle_alpha 118.77
_cell_angle_beta 118.71
_cell_angle_gamma 92.20
_symmetry_space_group_name_H-M 'P 1'
_symmetry_Int_Tables_number 1
loop_
_symmetry_equiv_pos_as_xyz
'x,y,z'
loop_
_atom_site_label
_atom_site_type_symbol
_atom_site_fract_x
_atom_site_fract_y
_atom_site_fract_z
Zn1 Zn 0.3767 0.1267 0.2500
Zn2 Zn 0.6233 0.8733 0.7500
Ga1 Ga 0.0000 0.0000 0.5000
Ga2 Ga 0.0000 0.5000 0.0000
Fe1 Fe 0.0000 0.5000 0.5000
Fe2 Fe 0.5000 0.5000 0.0000
O1 O 0.2119 0.7355 0.4764
O2 O 0.2380 0.2558 0.5178
O3 O 0.2380 0.7201 0.9822
O4 O 0.2408 0.2645 0.9764
O5 O 0.7592 0.7355 0.0236
O6 O 0.7620 0.2799 0.0178
O7 O 0.7620 0.7442 0.4822
O8 O 0.7881 0.2645 0.5236
```

[4]
ZrGaFe2O6: computed powder diffraction line list (λ = 1.5418 Å (Cu Kα)), based on DFT lattice parameters and positions (PBE+U).
Peak positions follow from Bragg's law for the DFT cell and can differ from measured ones.

Principal peaks in the range 10° ≤ 2θ ≤ 80°, sorted by position:
2θ (°)	I/Imax
23.23	37.1
32.18	100.0
33.96	84.4
39.19	13.9
47.48	40.3
52.29	48.2
59.65	36.5
60.76	32.9
70.23	14.2
71.46	9.8

Atomic structure:
```
data_ZrGaFe2O6
_cell_length_a 5.5785
_cell_length_b 5.5785
_cell_length_c 5.5785
_cell_angle_alpha 56.49
_cell_angle_beta 56.49
_cell_angle_gamma 56.49
_symmetry_space_group_name_H-M 'P 1'
_symmetry_Int_Tables_number 1
loop_
_symmetry_equiv_pos_as_xyz
'x,y,z'
loop_
_atom_site_label
_atom_site_type_symbol
_atom_site_fract_x
_atom_site_fract_y
_atom_site_fract_z
Zr1 Zr 0.0000 0.0000 0.0000
Ga1 Ga 0.4995 0.4995 0.4995
Fe1 Fe 0.2100 0.2100 0.2100
Fe2 Fe 0.7095 0.7095 0.7095
O1 O 0.1091 0.4198 0.7789
O2 O 0.3069 0.8865 0.6129
O3 O 0.4198 0.7789 0.1091
O4 O 0.6129 0.3069 0.8865
O5 O 0.7789 0.1091 0.4198
O6 O 0.8865 0.6129 0.3069
```